# SrCoO3
Theoretical X-ray diffraction stick pattern, Cu Kα (λ = 1.5418 Å). Input: a GGA+U-relaxed structure.

Largest 6 diffraction maxima, in order of rising 2θ, 2θ from 5° to 70°:
| Position (°2θ) | d (Å) | Rel. int. |
| --- | --- | --- |
| 32.42 | 2.761 | 100 |
| 39.99 | 2.255 | 11 |
| 46.51 | 1.953 | 37 |
| 52.39 | 1.747 | 1 |
| 57.84 | 1.594 | 37 |
| 67.89 | 1.381 | 21 |

Cell: 5.526 5.526 3.900 Å, 90.00 90.00 90.00°
Sites, in units of the cell vectors:
Sr1 0.000 0.000 0.000
Sr2 0.500 0.500 0.000
Co1 0.000 0.500 0.500
Co2 0.500 0.000 0.500
O1 0.000 0.500 0.000
O2 0.229 0.271 0.500
O3 0.271 0.771 0.500
O4 0.500 0.000 0.000
O5 0.729 0.229 0.500
O6 0.771 0.729 0.500



# Mn3NbO8
Theoretical X-ray diffraction stick pattern, Cu Kα (λ = 1.5418 Å). Input: a GGA+U-relaxed structure.

Largest 10 diffraction maxima, in order of rising 2θ, 2θ from 5° to 70°:
| Position (°2θ) | d (Å) | Rel. int. |
| --- | --- | --- |
| 18.90 | 4.694 | 37 |
| 19.43 | 4.570 | 55 |
| 19.86 | 4.471 | 100 |
| 25.33 | 3.516 | 20 |
| 33.63 | 2.665 | 19 |
| 35.73 | 2.513 | 20 |
| 35.88 | 2.503 | 20 |
| 36.22 | 2.480 | 23 |
| 40.35 | 2.235 | 22 |
| 63.07 | 1.474 | 26 |

Cell: 5.898 5.898 9.393 Å, 90.86 90.86 118.99°
Sites, in units of the cell vectors:
Mn1 0.083 0.917 0.500
Mn2 0.415 0.583 0.999
Mn3 0.578 0.917 0.497
Mn4 0.583 0.415 0.499
Mn5 0.917 0.083 0.000
Mn6 0.917 0.578 0.997
Nb1 0.091 0.417 0.714
Nb2 0.417 0.091 0.214
O1 0.085 0.911 0.117
O2 0.090 0.419 0.100
O3 0.228 0.713 0.885
O4 0.256 0.297 0.870
O5 0.284 0.797 0.374
O6 0.297 0.256 0.370
O7 0.418 0.591 0.607
O8 0.419 0.090 0.600
O9 0.569 0.907 0.120
O10 0.591 0.418 0.107
O11 0.713 0.228 0.385
O12 0.745 0.747 0.904
O13 0.747 0.745 0.404
O14 0.797 0.284 0.874
O15 0.907 0.569 0.620
O16 0.911 0.085 0.617



# CaLaCrCoO6
Theoretical X-ray diffraction stick pattern, Cu Kα (λ = 1.5418 Å). Input: a GGA+U-relaxed structure.

Largest 10 diffraction maxima, in order of rising 2θ, 2θ from 5° to 70°:
| Position (°2θ) | d (Å) | Rel. int. |
| --- | --- | --- |
| 19.76 | 4.493 | 45 |
| 32.42 | 2.761 | 32 |
| 32.56 | 2.750 | 68 |
| 32.69 | 2.740 | 100 |
| 38.45 | 2.341 | 17 |
| 46.73 | 1.944 | 42 |
| 46.87 | 1.939 | 23 |
| 57.96 | 1.591 | 21 |
| 58.18 | 1.586 | 37 |
| 58.45 | 1.579 | 22 |

Cell: 5.475 5.522 9.471 Å, 90.00 125.04 90.00°
Sites, in units of the cell vectors:
Ca1 0.000 0.208 0.000
Ca2 0.000 0.792 0.500
La1 0.484 0.283 0.500
La2 0.484 0.717 0.000
Cr1 0.740 0.250 0.250
Cr2 0.740 0.750 0.750
Co1 0.241 0.250 0.751
Co2 0.241 0.750 0.251
O1 0.067 0.031 0.289
O2 0.067 0.969 0.789
O3 0.405 0.464 0.207
O4 0.405 0.536 0.707
O5 0.484 0.038 0.713
O6 0.484 0.962 0.213
O7 0.566 0.265 0.996
O8 0.566 0.735 0.496
O9 0.923 0.232 0.503
O10 0.923 0.768 0.003
O11 0.996 0.458 0.791
O12 0.996 0.542 0.291



# LiCoPO4
Theoretical X-ray diffraction stick pattern, Cu Kα (λ = 1.5418 Å). Input: a GGA+U-relaxed structure.

Largest 10 diffraction maxima, in order of rising 2θ, 2θ from 5° to 70°:
| Position (°2θ) | d (Å) | Rel. int. |
| --- | --- | --- |
| 19.94 | 4.453 | 41 |
| 20.22 | 4.392 | 50 |
| 21.91 | 4.057 | 53 |
| 24.41 | 3.646 | 100 |
| 27.30 | 3.267 | 69 |
| 28.26 | 3.158 | 19 |
| 32.19 | 2.781 | 46 |
| 33.67 | 2.662 | 23 |
| 46.22 | 1.964 | 17 |
| 59.28 | 1.559 | 24 |

Cell: 8.045 5.324 8.410 Å, 90.00 105.03 90.00°
Sites, in units of the cell vectors:
Li1 0.000 0.160 0.000
Li2 0.000 0.840 0.500
Li3 0.501 0.331 0.684
Li4 0.501 0.669 0.184
Co1 0.105 0.347 0.370
Co2 0.105 0.653 0.870
Co3 0.623 0.167 0.065
Co4 0.623 0.833 0.565
P1 0.384 0.167 0.305
P2 0.384 0.833 0.805
P3 0.870 0.329 0.621
P4 0.870 0.671 0.121
O1 0.007 0.326 0.791
O2 0.007 0.674 0.291
O3 0.197 0.173 0.190
O4 0.197 0.827 0.690
O5 0.360 0.303 0.463
O6 0.360 0.697 0.963
O7 0.454 0.104 0.849
O8 0.454 0.896 0.349
O9 0.511 0.311 0.228
O10 0.511 0.689 0.728
O11 0.711 0.179 0.636
O12 0.711 0.821 0.136
O13 0.825 0.390 0.073
O14 0.825 0.610 0.573
O15 0.947 0.202 0.488
O16 0.947 0.798 0.988



# NaCoO2
Theoretical X-ray diffraction stick pattern, Cu Kα (λ = 1.5418 Å). Input: a GGA+U-relaxed structure.

Largest 10 diffraction maxima, in order of rising 2θ, 2θ from 5° to 70°:
| Position (°2θ) | d (Å) | Rel. int. |
| --- | --- | --- |
| 13.89 | 6.375 | 100 |
| 22.98 | 3.870 | 34 |
| 23.11 | 3.848 | 30 |
| 33.56 | 2.671 | 36 |
| 33.74 | 2.656 | 36 |
| 35.96 | 2.497 | 26 |
| 37.09 | 2.424 | 92 |
| 41.04 | 2.199 | 72 |
| 43.15 | 2.097 | 57 |
| 58.18 | 1.586 | 44 |

Cell: 2.906 4.848 12.765 Å, 89.65 87.25 89.61°
Sites, in units of the cell vectors:
Na1 0.000 0.000 0.000
Na2 0.002 0.992 0.502
Na3 0.491 0.495 0.125
Na4 0.532 0.491 0.628
Co1 0.015 0.970 0.754
Co2 0.508 0.467 0.377
Co3 0.510 0.483 0.877
Co4 0.998 0.968 0.251
O1 0.025 0.552 0.778
O2 0.051 0.499 0.480
O3 0.458 0.000 0.147
O4 0.469 0.994 0.649
O5 0.533 0.064 0.354
O6 0.541 0.058 0.855
O7 0.972 0.564 0.273
O8 0.997 0.501 0.975